For Hf4SeS, DFT lattice parameters and positions (PBE) gives the simulated X-ray diffraction stick pattern in this record (Cu Kα).

Peak list (10 most intense, 2θ = 10–90°, low angle first)
29.68 deg, d = 3.010 Å, intensity 38, (2 2 0); 32.70 deg, d = 2.739 Å, intensity 100, (2 0 2); 33.28 deg, d = 2.692 Å, intensity 24, (3 1 0); 42.00 deg, d = 2.151 Å, intensity 16, (3 1 2); 42.47 deg, d = 2.128 Å, intensity 24, (4 0 0); 51.06 deg, d = 1.789 Å, intensity 10, (0 0 4); 52.27 deg, d = 1.750 Å, intensity 22, (3 3 2); 54.61 deg, d = 1.680 Å, intensity 26, (4 2 2); 63.74 deg, d = 1.460 Å, intensity 11, (5 3 0); 68.53 deg, d = 1.369 Å, intensity 11, (4 0 4)

Cell: 8.5132 8.5132 7.1548 Å, 90.00 90.00 90.00°
Space group I4_1md (No. 109)
Inequivalent atoms, fractional coordinates:
Hf1 0.0000 0.2839 0.0000 (multiplicity 8)
Hf2 0.0000 0.2967 0.4749 (multiplicity 8)
Se1 0.0000 0.0000 0.4957 (multiplicity 4)
S1 0.0000 0.0000 0.9800 (multiplicity 4)



For PmInPtO6, DFT lattice parameters and positions (PBE) gives the simulated X-ray diffraction stick pattern in this record (Cu Kα).

Peak list (10 most intense, 2θ = 10–90°, low angle first)
25.26 deg, d = 3.526 Å, intensity 100, (1 1 0); 32.01 deg, d = 2.796 Å, intensity 90, (1 0 3); 36.03 deg, d = 2.493 Å, intensity 26, (2 0 0); 48.95 deg, d = 1.861 Å, intensity 69, (2 1 3); 51.86 deg, d = 1.763 Å, intensity 17, (2 2 0); 58.54 deg, d = 1.577 Å, intensity 17, (3 1 0); 60.82 deg, d = 1.523 Å, intensity 17, (1 1 6); 62.26 deg, d = 1.491 Å, intensity 19, (3 0 3); 74.08 deg, d = 1.280 Å, intensity 15, (3 2 3); 85.24 deg, d = 1.139 Å, intensity 13, (4 1 3)

Cell: 4.9861 4.9861 10.1320 Å, 90.00 90.00 90.00°
Space group P4_2nm (No. 102)
Inequivalent atoms, fractional coordinates:
Pm1 0.0000 0.0000 0.0000 (multiplicity 2)
In1 0.0000 0.0000 0.6612 (multiplicity 2)
Pt1 0.0000 0.0000 0.3283 (multiplicity 2)
O1 0.1785 0.1785 0.4789 (multiplicity 4)
O2 0.1953 0.1953 0.1820 (multiplicity 4)
O3 0.2237 0.2237 0.8236 (multiplicity 4)



For Ce5Cu19P12, DFT lattice parameters and positions (PBE) gives the simulated X-ray diffraction stick pattern in this record (Cu Kα).

Peak list (10 most intense, 2θ = 10–90°, low angle first)
28.18 deg, d = 3.166 Å, intensity 20, (2 6 0); 29.36 deg, d = 3.042 Å, intensity 15, (4 2 0); 35.68 deg, d = 2.516 Å, intensity 12, (3 7 0); 36.43 deg, d = 2.466 Å, intensity 100, (4 0 -1); 36.63 deg, d = 2.453 Å, intensity 84, (2 6 1); 37.59 deg, d = 2.393 Å, intensity 48, (5 3 0); 42.85 deg, d = 2.111 Å, intensity 15, (3 9 0); 46.08 deg, d = 1.970 Å, intensity 14, (5 7 0); 46.50 deg, d = 1.953 Å, intensity 37, (0 0 2); 49.89 deg, d = 1.828 Å, intensity 34, (6 6 0)

Cell: 12.6679 21.9300 3.9064 Å, 90.00 90.46 90.00°
Space group Cm (No. 8)
Inequivalent atoms, fractional coordinates:
Ce1 0.0000 0.0000 0.0000 (multiplicity 2)
Ce2 0.2209 0.4068 0.9937 (multiplicity 4)
Ce3 0.3140 0.1667 0.4945 (multiplicity 4)
Cu1 0.0160 0.3207 0.9718 (multiplicity 4)
Cu2 0.0204 0.4136 0.4897 (multiplicity 4)
Cu3 0.0262 0.5000 0.9970 (multiplicity 2)
Cu4 0.0437 0.2280 0.3936 (multiplicity 4)
Cu5 0.0903 0.1035 0.5014 (multiplicity 4)
Cu6 0.1942 0.2614 0.9750 (multiplicity 4)
Cu7 0.2316 0.0594 0.0231 (multiplicity 4)
Cu8 0.3139 0.5000 0.4965 (multiplicity 2)
Cu9 0.3313 0.3100 0.5003 (multiplicity 4)
Cu10 0.3565 0.0000 0.6028 (multiplicity 2)
Cu11 0.4581 0.3560 0.9922 (multiplicity 4)
P1 0.1338 0.3198 0.4849 (multiplicity 4)
P2 0.1382 0.5000 0.4959 (multiplicity 2)
P3 0.1432 0.1564 0.9979 (multiplicity 4)
P4 0.1741 0.0000 0.5110 (multiplicity 2)
P5 0.3840 0.2572 0.0013 (multiplicity 4)
P6 0.4018 0.4121 0.4942 (multiplicity 4)
P7 0.4148 0.0864 0.9914 (multiplicity 4)



For Ce3Tl2Se6, DFT lattice parameters and positions (PBE) gives the simulated X-ray diffraction stick pattern in this record (Cu Kα).

Peak list (10 most intense, 2θ = 10–90°, low angle first)
14.21 deg, d = 6.232 Å, intensity 9, (1 1 0); 25.05 deg, d = 3.554 Å, intensity 10, (2 0 0); 28.46 deg, d = 3.136 Å, intensity 100, (1 3 1); 39.46 deg, d = 2.284 Å, intensity 35, (2 0 2); 41.88 deg, d = 2.157 Å, intensity 38, (0 6 0); 51.42 deg, d = 1.777 Å, intensity 19, (4 0 0); 58.90 deg, d = 1.568 Å, intensity 11, (4 0 -4); 64.97 deg, d = 1.435 Å, intensity 8, (3 3 -5); 68.40 deg, d = 1.372 Å, intensity 16, (5 3 -3); 74.87 deg, d = 1.268 Å, intensity 11, (4 6 -4)

Cell: 7.4726 12.9398 8.0853 Å, 90.00 107.90 90.00°
Space group C2/m (No. 12)
Inequivalent atoms, fractional coordinates:
Ce1 0.0000 0.0000 0.0000 (multiplicity 2)
Ce2 0.0000 0.3340 0.0000 (multiplicity 4)
Tl1 0.0000 0.1670 0.5000 (multiplicity 4)
Se1 0.2330 0.1680 0.2032 (multiplicity 8)
Se2 0.2372 0.5000 0.2042 (multiplicity 4)



For SrMg6ZnO8, DFT lattice parameters and positions (PBE) gives the simulated X-ray diffraction stick pattern in this record (Cu Kα).

Peak list (10 most intense, 2θ = 10–90°, low angle first)
19.66 deg, d = 4.515 Å, intensity 36, (1 0 0); 20.47 deg, d = 4.338 Å, intensity 17, (0 0 2); 28.53 deg, d = 3.128 Å, intensity 30, (1 0 2); 34.89 deg, d = 2.571 Å, intensity 49, (1 1 2); 39.94 deg, d = 2.257 Å, intensity 100, (2 0 0); 41.63 deg, d = 2.169 Å, intensity 42, (0 0 4); 57.76 deg, d = 1.596 Å, intensity 30, (2 2 0); 59.06 deg, d = 1.564 Å, intensity 53, (2 0 4); 69.28 deg, d = 1.356 Å, intensity 17, (3 1 2); 73.69 deg, d = 1.286 Å, intensity 25, (2 2 4)

Cell: 4.5149 4.5149 8.6768 Å, 90.00 90.00 90.00°
Space group P4/mmm (No. 123)
Inequivalent atoms, fractional coordinates:
Sr1 0.0000 0.0000 0.0000 (multiplicity 1)
Mg1 0.0000 0.5000 0.2621 (multiplicity 4)
Mg2 0.5000 0.5000 0.0000 (multiplicity 1)
Mg3 0.5000 0.5000 0.5000 (multiplicity 1)
Zn1 0.0000 0.0000 0.5000 (multiplicity 1)
O1 0.0000 0.0000 0.2721 (multiplicity 2)
O2 0.0000 0.5000 0.0000 (multiplicity 2)
O3 0.0000 0.5000 0.5000 (multiplicity 2)
O4 0.5000 0.5000 0.2515 (multiplicity 2)



For TiBeB4, DFT lattice parameters and positions (PBE) gives the simulated X-ray diffraction stick pattern in this record (Cu Kα).

Peak list (10 most intense, 2θ = 10–90°, low angle first)
17.70 deg, d = 5.011 Å, intensity 23, (1 1 0); 22.67 deg, d = 3.923 Å, intensity 49, (1 2 0); 29.20 deg, d = 3.058 Å, intensity 26, (1 3 0); 32.80 deg, d = 2.730 Å, intensity 49, (0 4 0); 37.12 deg, d = 2.422 Å, intensity 50, (1 2 1); 41.62 deg, d = 2.170 Å, intensity 41, (1 3 1); 44.34 deg, d = 2.043 Å, intensity 100, (0 4 1); 47.33 deg, d = 1.921 Å, intensity 20, (1 4 1); 53.03 deg, d = 1.727 Å, intensity 23, (2 5 0); 60.10 deg, d = 1.540 Å, intensity 19, (0 0 2)

Cell: 5.6405 10.9195 3.0791 Å, 90.00 90.00 90.00°
Space group Pbam (No. 55)
Inequivalent atoms, fractional coordinates:
Ti1 0.1305 0.1496 0.0000 (multiplicity 4)
Be1 0.1320 0.4139 0.0000 (multiplicity 4)
B1 0.0225 0.6953 0.5000 (multiplicity 4)
B2 0.1158 0.5488 0.5000 (multiplicity 4)
B3 0.1324 0.9682 0.5000 (multiplicity 4)
B4 0.2104 0.8139 0.5000 (multiplicity 4)



For Cs2PtF5, DFT lattice parameters and positions (PBE) gives the simulated X-ray diffraction stick pattern in this record (Cu Kα).

Peak list (10 most intense, 2θ = 10–90°, low angle first)
16.83 deg, d = 5.268 Å, intensity 79, (1 0 1); 27.05 deg, d = 3.296 Å, intensity 45, (2 0 0); 27.95 deg, d = 3.192 Å, intensity 100, (1 1 2); 32.03 deg, d = 2.794 Å, intensity 23, (2 1 1); 33.56 deg, d = 2.670 Å, intensity 14, (1 0 3); 38.63 deg, d = 2.331 Å, intensity 32, (2 2 0); 41.21 deg, d = 2.190 Å, intensity 14, (0 0 4); 48.35 deg, d = 1.883 Å, intensity 42, (3 1 2); 49.99 deg, d = 1.824 Å, intensity 17, (2 0 4); 57.76 deg, d = 1.596 Å, intensity 19, (2 2 4)

Cell: 6.5929 6.5929 8.7615 Å, 90.00 90.00 90.00°
Space group I4mm (No. 107)
Inequivalent atoms, fractional coordinates:
Cs1 0.0000 0.5000 0.0000 (multiplicity 4)
Pt1 0.0000 0.0000 0.2487 (multiplicity 2)
F1 0.0000 0.0000 0.4920 (multiplicity 2)
F2 0.2142 0.2142 0.2443 (multiplicity 8)



For CeSn4Pd2, DFT lattice parameters and positions (PBE) gives the simulated X-ray diffraction stick pattern in this record (Cu Kα).

Peak list (10 most intense, 2θ = 10–90°, low angle first)
29.26 deg, d = 3.052 Å, intensity 20, (0 0 2); 30.00 deg, d = 2.978 Å, intensity 20, (2 2 0); 33.48 deg, d = 2.677 Å, intensity 24, (2 2 1); 33.75 deg, d = 2.655 Å, intensity 100, (5 1 1); 36.45 deg, d = 2.465 Å, intensity 37, (3 1 2); 40.92 deg, d = 2.205 Å, intensity 41, (0 2 2); 43.25 deg, d = 2.092 Å, intensity 11, (6 2 0); 45.69 deg, d = 1.986 Å, intensity 15, (3 3 0); 54.82 deg, d = 1.675 Å, intensity 28, (5 1 3); 67.17 deg, d = 1.394 Å, intensity 11, (2 4 2)

Cell: 16.6285 6.3803 6.1038 Å, 90.00 90.00 90.00°
Space group Cmcm (No. 63)
Inequivalent atoms, fractional coordinates:
Ce1 0.0000 0.2312 0.2500 (multiplicity 4)
Sn1 0.0862 0.2817 0.7500 (multiplicity 8)
Sn2 0.2011 0.3508 0.2500 (multiplicity 8)
Pd1 0.1693 0.0000 0.0000 (multiplicity 8)



For BeH4Pd6, DFT lattice parameters and positions (PBE) gives the simulated X-ray diffraction stick pattern in this record (Cu Kα).

Peak list (10 most intense, 2θ = 10–90°, low angle first)
34.90 deg, d = 2.571 Å, intensity 41, (0 5 1); 36.24 deg, d = 2.479 Å, intensity 83, (1 3 -1); 37.22 deg, d = 2.416 Å, intensity 49, (0 1 2); 38.68 deg, d = 2.328 Å, intensity 29, (0 2 2); 39.64 deg, d = 2.274 Å, intensity 91, (1 4 0); 40.29 deg, d = 2.239 Å, intensity 100, (0 6 1); 41.50 deg, d = 2.176 Å, intensity 57, (1 1 1); 42.83 deg, d = 2.111 Å, intensity 65, (1 2 1); 62.40 deg, d = 1.488 Å, intensity 22, (2 0 -1); 76.94 deg, d = 1.239 Å, intensity 28, (2 6 -2)

Cell: 2.9764 15.1034 5.1125 Å, 90.00 106.80 90.00°
Space group P2_1/m (No. 11)
Inequivalent atoms, fractional coordinates:
Be1 0.1790 0.2500 0.3345 (multiplicity 2)
H1 0.1100 0.6238 0.2248 (multiplicity 4)
H2 0.4500 0.5421 0.7297 (multiplicity 4)
Pd1 0.0000 0.0000 0.0000 (multiplicity 2)
Pd2 0.1427 0.7500 0.3057 (multiplicity 2)
Pd3 0.2925 0.0856 0.5579 (multiplicity 4)
Pd4 0.4329 0.6572 0.8874 (multiplicity 4)



For Nd2PuGaN5, DFT lattice parameters and positions (PBE) gives the simulated X-ray diffraction stick pattern in this record (Cu Kα).

Peak list (10 most intense, 2θ = 10–90°, low angle first)
21.18 deg, d = 4.195 Å, intensity 38, (0 2 2); 26.74 deg, d = 3.334 Å, intensity 25, (0 4 1); 28.59 deg, d = 3.122 Å, intensity 79, (0 2 3); 30.64 deg, d = 2.918 Å, intensity 49, (0 4 2); 32.23 deg, d = 2.777 Å, intensity 52, (1 3 0); 33.38 deg, d = 2.684 Å, intensity 58, (1 3 1); 37.25 deg, d = 2.414 Å, intensity 100, (1 1 3); 39.38 deg, d = 2.288 Å, intensity 45, (0 6 1); 45.06 deg, d = 2.012 Å, intensity 49, (1 5 2); 61.46 deg, d = 1.509 Å, intensity 26, (2 2 3)

Cell: 3.4470 14.0697 10.4504 Å, 90.00 90.00 90.00°
Space group Cmc2_1 (No. 36)
Inequivalent atoms, fractional coordinates:
Nd1 0.0000 0.1042 0.0000 (multiplicity 4)
Nd2 0.0000 0.1292 0.6220 (multiplicity 4)
Pu1 0.0000 0.2096 0.3308 (multiplicity 4)
Ga1 0.0000 0.4583 0.7652 (multiplicity 4)
N1 0.0000 0.0557 0.3575 (multiplicity 4)
N2 0.0000 0.2820 0.9621 (multiplicity 4)
N3 0.0000 0.3086 0.6988 (multiplicity 4)
N4 0.0000 0.3539 0.3158 (multiplicity 4)
N5 0.0000 0.4949 0.0943 (multiplicity 4)



For KAl2Zn9, DFT lattice parameters and positions (PBE) gives the simulated X-ray diffraction stick pattern in this record (Cu Kα).

Peak list (10 most intense, 2θ = 10–90°, low angle first)
16.30 deg, d = 5.438 Å, intensity 29, (2 0 0); 22.21 deg, d = 4.002 Å, intensity 20, (2 1 1); 36.51 deg, d = 2.461 Å, intensity 79, (3 1 2); 36.96 deg, d = 2.432 Å, intensity 67, (4 2 0); 39.25 deg, d = 2.295 Å, intensity 21, (1 0 3); 41.98 deg, d = 2.152 Å, intensity 23, (4 0 2); 42.76 deg, d = 2.115 Å, intensity 33, (2 1 3); 43.55 deg, d = 2.078 Å, intensity 100, (5 0 1); 45.31 deg, d = 2.001 Å, intensity 23, (4 2 2); 66.31 deg, d = 1.410 Å, intensity 26, (5 5 2)

Cell: 10.8758 10.8758 7.0446 Å, 90.00 90.00 90.00°
Space group I4_1/amd (No. 141, origin choice 2)
Inequivalent atoms, fractional coordinates:
K1 0.0000 0.2500 0.3750 (multiplicity 4)
Al1 0.0000 0.0000 0.0000 (multiplicity 8)
Zn1 0.0000 0.2500 0.8750 (multiplicity 4)
Zn2 0.1224 0.0434 0.6774 (multiplicity 32)